# VS2O8
Simulated XRD peak list, Cu Ka. Input: a crystal structure in Alexandria, relaxed with PBE+U.

Main lines, most intense first (2θ = 10–90°):
d [Å], 2θ (°), intensity
3.662, 24.30, 100
6.106, 14.51, 46
2.798, 31.99, 29
3.053, 29.25, 25
6.915, 12.80, 25
4.452, 19.94, 20
2.726, 32.85, 12
3.755, 23.69, 11
1.742, 52.54, 10
2.305, 39.08, 10
1.831, 49.79, 8
2.150, 42.03, 6

Cell and atoms:
```
VS2O8
1.0
4.1950 2.4220 7.5106
-4.1950 2.4220 7.5106
0.0000 -4.8439 7.5106
V S O
3 6 24
Direct
0.0000 0.0000 0.0000
0.2033 0.2033 0.2033
0.7090 0.7090 0.7090
0.0951 0.3846 0.8255
0.3034 0.8944 0.6093
0.3846 0.8255 0.0951
0.6093 0.3034 0.8944
0.8255 0.0951 0.3846
0.8944 0.6093 0.3034
0.0002 0.0957 0.3765
0.0493 0.4141 0.3060
0.0957 0.3765 0.0002
0.1162 0.9973 0.7487
0.2554 0.9092 0.9842
0.2848 0.3237 0.6918
0.2910 0.7241 0.6451
0.3060 0.0493 0.4141
0.3237 0.6918 0.2848
0.3765 0.0002 0.0957
0.4141 0.3060 0.0493
0.4696 0.8652 0.6335
0.5818 0.7479 0.9644
0.6335 0.4696 0.8652
0.6451 0.2910 0.7241
0.6918 0.2848 0.3237
0.7241 0.6451 0.2910
0.7479 0.9644 0.5818
0.7487 0.1162 0.9973
0.8652 0.6335 0.4696
0.9092 0.9842 0.2554
0.9644 0.5818 0.7479
0.9842 0.2554 0.9092
0.9973 0.7487 0.1162
```